This entry pairs a crystal structure of Mn8Ni with its calculated PXRD pattern. Radiation: Cu Kα, 1.54184 Å. Structure: DFT lattice parameters and positions (PBE).

Top 7 peaks for 2θ from 15° to 90°, by angle:
| 2theta | intensity |
| --- | --- |
| 16.49 | 14 |
| 43.92 | 1000 |
| 50.96 | 308 |
| 51.57 | 151 |
| 56.24 | 9 |
| 74.95 | 86 |
| 75.44 | 171 |

Atomic structure:
Cell lengths 7.6026, 7.6026, 3.5444 Å; angles 90.00, 90.00, 90.00 degrees
Space group I4/mmm (No. 139)
Unique sites:
Mn 0.0000 0.3228 0.0000 x8
Mn 0.1647 0.1647 0.5000 x8
Ni 0.0000 0.0000 0.0000 x2